Diffraction record for PmTaAg2O6. The PXRD pattern is theoretical, not measured: it uses a structure optimized by DFT (PBE) and Cu Ka.

Atomic structure:
Cell lengths 5.5360, 5.6090, 5.9824 Å; angles 63.72, 65.66, 62.53 degrees
Space group P1 (No. 1)
Inequivalent atoms, fractional coordinates:
Pm  0.0000  0.0000  0.0000 (multiplicity 1)
Ta  0.5227  0.5180  0.4548 (multiplicity 1)
Ag  0.1982  0.2048  0.3967 (multiplicity 1)
Ag  0.7330  0.7407  0.7868 (multiplicity 1)
O  0.1748  0.7999  0.6298 (multiplicity 1)
O  0.2900  0.5739  0.2221 (multiplicity 1)
O  0.3750  0.1792  0.6552 (multiplicity 1)
O  0.6295  0.8379  0.1959 (multiplicity 1)
O  0.7044  0.3817  0.7202 (multiplicity 1)
O  0.8781  0.2807  0.2416 (multiplicity 1)

Top 12 peaks for 2θ from 10° to 90°, by angle:
two_theta  I (rel.)  hkl
21.1  32  0 1 1
21.5  32  1 1 0
28.7  89  1 0 -1
29.3  82  0 1 -1
30.2  81  1 1 2
30.9  100  1 -1 0
32.0  83  1 2 1
32.4  82  2 1 1
43.0  34  0 2 2
43.9  33  2 2 0
44.6  32  2 0 2
56.2  27  3 0 1